AcLaPmSm: simulated X-ray diffraction stick pattern (copper Kα), based on a cell relaxed with GGA-PBE.
Lines closer than 0.1° are merged.

Principal peaks in the range 5° ≤ 2θ ≤ 70°, by angle:
Position (°2θ), d [Å], intensity, index
18.66, 4.755, 4, 1 0 1
29.17, 3.062, 100, 1 1 2
33.58, 2.669, 35, 2 0 0
34.26, 2.618, 16, 0 0 4
38.69, 2.327, 2, 2 1 1
48.22, 1.887, 13, 2 2 0
48.73, 1.869, 25, 2 0 4
57.36, 1.606, 30, 3 1 2
58.25, 1.584, 15, 1 1 6
60.48, 1.531, 13, 2 2 4

Structure:
```
data_AcLaPmSm
_chemical_formula_sum 'Ac2 La2 Pm2 Sm2'
_cell_length_a 5.3375
_cell_length_b 5.3375
_cell_length_c 10.4703
_cell_angle_alpha 90.00
_cell_angle_beta 90.00
_cell_angle_gamma 90.00
_space_group_name_H-M_alt 'I -4 m 2'
_space_group_IT_number 119
_space_group_name_Hall 'I -4 -2'
loop_
_atom_site_label
_atom_site_fract_x
_atom_site_fract_y
_atom_site_fract_z
Ac1 0.0000 0.0000 0.0000
La1 0.0000 0.0000 0.5000
Pm1 0.0000 0.5000 0.2500
Sm1 0.0000 0.5000 0.7500
```


FeNi: simulated X-ray diffraction stick pattern (copper Kα), based on a cell relaxed with GGA-PBE.
Lines closer than 0.1° are merged.

Principal peaks in the range 5° ≤ 2θ ≤ 70°, by angle:
Position (°2θ), d [Å], intensity, index
41.39, 2.181, 18, 2 0 2
41.61, 2.170, 32, 1 1 1
43.67, 2.073, 57, 4 0 -2
46.75, 1.943, 34, 4 0 1
47.11, 1.929, 69, 3 1 0
47.42, 1.917, 100, 1 1 -2
61.19, 1.515, 5, 6 0 0
61.63, 1.505, 9, 5 1 -1
62.17, 1.493, 9, 3 1 -3
62.27, 1.491, 5, 2 0 -4

Structure:
```
data_FeNi
_chemical_formula_sum 'Fe6 Ni6'
_cell_length_a 9.4315
_cell_length_b 2.5020
_cell_length_c 5.9714
_cell_angle_alpha 90.00
_cell_angle_beta 105.51
_cell_angle_gamma 90.00
_space_group_name_H-M_alt 'C 1 m 1'
_space_group_IT_number 8
loop_
_space_group_symop_operation_xyz
'x,y,z'
'x,-y,z'
'x+1/2,y+1/2,z'
'x+1/2,-y+1/2,z'
loop_
_atom_site_label
_atom_site_fract_x
_atom_site_fract_y
_atom_site_fract_z
Fe1 0.0000 0.0000 0.0000
Fe2 0.0590 0.0000 0.6065
Fe3 0.1773 0.5000 0.3280
Ni1 0.2237 0.5000 0.9394
Ni2 0.3369 0.0000 0.6656
Ni3 0.3947 0.0000 0.2755
```


Li7GaBi4: simulated X-ray diffraction stick pattern (copper Kα), based on a cell relaxed with GGA-PBE.
Lines closer than 0.1° are merged.

Principal peaks in the range 5° ≤ 2θ ≤ 70°, by angle:
Position (°2θ), d [Å], intensity, index
19.57, 4.537, 41, 1 1 -1
20.17, 4.404, 45, 0 0 2
24.25, 3.670, 100, 1 1 1
28.41, 3.142, 52, 3 1 -2
30.73, 2.909, 54, 4 0 -1
35.33, 2.540, 26, 0 2 0
38.09, 2.363, 29, 3 1 -4
40.65, 2.219, 25, 1 1 3
41.01, 2.201, 35, 0 2 2
47.52, 1.913, 33, 4 2 -1

Structure:
```
data_Li7GaBi4
_chemical_formula_sum 'Li14 Ga2 Bi8'
_cell_length_a 12.3239
_cell_length_b 5.0805
_cell_length_c 10.7291
_cell_angle_alpha 90.00
_cell_angle_beta 124.83
_cell_angle_gamma 90.00
_space_group_name_H-M_alt 'C 1 2/m 1'
_space_group_IT_number 12
loop_
_space_group_symop_operation_xyz
'x,y,z'
'-x,-y,-z'
'-x,y,-z'
'x,-y,z'
'x+1/2,y+1/2,z'
'-x+1/2,-y+1/2,-z'
'-x+1/2,y+1/2,-z'
'x+1/2,-y+1/2,z'
loop_
_atom_site_label
_atom_site_fract_x
_atom_site_fract_y
_atom_site_fract_z
Li1 0.0000 0.0000 0.0000
Li2 0.0985 0.5000 0.4557
Li3 0.1925 0.0000 0.9081
Li4 0.2361 0.0000 0.6534
Ga1 0.0000 0.5000 0.0000
Bi1 0.0899 0.0000 0.3062
Bi2 0.1965 0.5000 0.7726
```


ErPaOs4: simulated X-ray diffraction stick pattern (copper Kα), based on a cell relaxed with GGA-PBE.
Lines closer than 0.1° are merged.

Principal peaks in the range 5° ≤ 2θ ≤ 70°, by angle:
Position (°2θ), d [Å], intensity, index
20.31, 4.373, 5, 1 1 1
23.49, 3.787, 1, 2 0 0
33.46, 2.678, 28, 2 2 0
39.46, 2.284, 100, 3 1 1
41.29, 2.186, 39, 2 2 2
48.05, 1.894, 4, 4 0 0
52.68, 1.738, 1, 3 3 1
59.82, 1.546, 11, 4 2 2
63.86, 1.458, 33, 5 1 1

Structure:
```
data_ErPaOs4
_chemical_formula_sum 'Er4 Pa4 Os16'
_cell_length_a 7.5740
_cell_length_b 7.5740
_cell_length_c 7.5740
_cell_angle_alpha 90.00
_cell_angle_beta 90.00
_cell_angle_gamma 90.00
_space_group_name_H-M_alt 'F -4 3 m'
_space_group_IT_number 216
_space_group_name_Hall 'F -4 2 3'
loop_
_atom_site_label
_atom_site_fract_x
_atom_site_fract_y
_atom_site_fract_z
Er1 0.0000 0.0000 0.0000
Pa1 0.2500 0.2500 0.2500
Os1 0.1254 0.1254 0.6254
```


BaGaSb2: simulated X-ray diffraction stick pattern (copper Kα), based on a cell relaxed with GGA-PBE.
Lines closer than 0.1° are merged.

Principal peaks in the range 5° ≤ 2θ ≤ 70°, by angle:
Position (°2θ), d [Å], intensity, index
23.24, 3.827, 13, 1 0 2
26.20, 3.402, 30, 0 0 3
26.68, 3.341, 16, 1 1 0
28.10, 3.175, 61, 1 1 1
32.02, 2.795, 100, 1 1 2
44.69, 2.028, 39, 1 1 4
50.58, 1.804, 21, 0 3 2
52.54, 1.742, 11, 1 1 5
54.96, 1.671, 18, 2 2 0
60.13, 1.539, 12, 3 0 4

Structure:
```
data_BaGaSb2
_chemical_formula_sum 'Ba3 Ga3 Sb6'
_cell_length_a 6.6827
_cell_length_b 6.6827
_cell_length_c 10.2047
_cell_angle_alpha 90.00
_cell_angle_beta 90.00
_cell_angle_gamma 120.00
_space_group_name_H-M_alt 'P 31 2 1'
_space_group_IT_number 152
loop_
_space_group_symop_operation_xyz
'x,y,z'
'-y,x-y,z+1/3'
'-x+y,-x,z+2/3'
'y,x,-z'
'x-y,-y,-z+2/3'
'-x,-x+y,-z+1/3'
loop_
_atom_site_label
_atom_site_fract_x
_atom_site_fract_y
_atom_site_fract_z
Ba1 0.0000 0.4992 0.1667
Ga1 0.0000 0.4998 0.6667
Sb1 0.1397 0.2813 0.8341
```


Y4SbSeS2: simulated X-ray diffraction stick pattern (copper Kα), based on a cell relaxed with GGA-PBE.
Lines closer than 0.1° are merged.

Principal peaks in the range 5° ≤ 2θ ≤ 70°, by angle:
Position (°2θ), d [Å], intensity, index
25.57, 3.483, 11, 2 1 1
26.72, 3.336, 4, 2 0 2
30.95, 2.889, 100, 2 2 0
33.80, 2.652, 11, 0 3 1
44.32, 2.044, 58, 2 2 4
44.44, 2.039, 12, 4 0 0
54.97, 1.670, 11, 0 4 4
55.14, 1.666, 12, 4 0 4
61.67, 1.504, 4, 4 3 3
64.51, 1.445, 10, 0 0 8

Structure:
```
data_Y4SbSeS2
_chemical_formula_sum 'Y16 Sb4 Se4 S8'
_cell_length_a 8.1549
_cell_length_b 8.1888
_cell_length_c 11.5551
_cell_angle_alpha 90.00
_cell_angle_beta 90.00
_cell_angle_gamma 90.00
_space_group_name_H-M_alt 'I m m a'
_space_group_IT_number 74
_space_group_name_Hall '-I 2b 2'
loop_
_atom_site_label
_atom_site_fract_x
_atom_site_fract_y
_atom_site_fract_z
Y1 0.0000 0.0221 0.2432
Y2 0.2368 0.2500 0.0106
Sb1 0.2500 0.2500 0.7500
Se1 0.0000 0.0000 0.5000
S1 0.0000 0.0000 0.0000
S2 0.2500 0.2500 0.2500
```


AcZnSbO: simulated X-ray diffraction stick pattern (copper Kα), based on a cell relaxed with GGA-PBE.
Lines closer than 0.1° are merged.

Principal peaks in the range 5° ≤ 2θ ≤ 70°, by angle:
Position (°2θ), d [Å], intensity, index
27.39, 3.256, 100, 1 0 2
29.04, 3.075, 27, 1 1 0
30.47, 2.934, 17, 1 1 1
34.28, 2.616, 15, 1 0 3
34.41, 2.606, 14, 1 1 2
41.54, 2.174, 30, 2 0 0
47.38, 1.919, 27, 1 1 4
50.47, 1.808, 40, 2 1 2
60.20, 1.537, 10, 2 2 0
67.36, 1.390, 9, 3 0 2

Structure:
```
data_AcZnSbO
_chemical_formula_sum 'Ac2 Zn2 Sb2 O2'
_cell_length_a 4.3480
_cell_length_b 4.3480
_cell_length_c 9.8236
_cell_angle_alpha 90.00
_cell_angle_beta 90.00
_cell_angle_gamma 90.00
_space_group_name_H-M_alt 'P 4/n m m'
_space_group_IT_number 129
loop_
_space_group_symop_operation_xyz
'x,y,z'
'-x,-y,-z'
'-y+1/2,x,z'
'y+1/2,-x,-z'
'-x+1/2,-y+1/2,z'
'x+1/2,y+1/2,-z'
'y,-x+1/2,z'
'-y,x+1/2,-z'
'x+1/2,-y,-z'
'-x+1/2,y,z'
'-y,-x,-z'
'y,x,z'
'-x,y+1/2,-z'
'x,-y+1/2,z'
'y+1/2,x+1/2,-z'
'-y+1/2,-x+1/2,z'
loop_
_atom_site_label
_atom_site_fract_x
_atom_site_fract_y
_atom_site_fract_z
Ac1 0.2500 0.2500 0.1254
Zn1 0.2500 0.7500 0.5000
Sb1 0.2500 0.2500 0.6727
O1 0.2500 0.7500 0.0000
```


LaPm2Pr2Sm: simulated X-ray diffraction stick pattern (copper Kα), based on a cell relaxed with GGA-PBE.
Lines closer than 0.1° are merged.

Principal peaks in the range 5° ≤ 2θ ≤ 70°, by angle:
Position (°2θ), d [Å], intensity, index
26.12, 3.412, 30, 0 1 1
28.02, 3.185, 100, 2 2 0
29.32, 3.046, 83, 0 6 0
29.61, 3.017, 91, 0 3 1
30.52, 2.929, 40, 1 2 1
32.21, 2.779, 27, 1 6 0
32.85, 2.726, 64, 2 4 0
35.04, 2.561, 39, 1 4 1
39.96, 2.256, 65, 2 3 1
54.01, 1.698, 38, 4 0 0

Structure:
```
data_LaPm2Pr2Sm
_chemical_formula_sum 'La2 Pm4 Pr4 Sm2'
_cell_length_a 6.7955
_cell_length_b 18.2744
_cell_length_c 3.4730
_cell_angle_alpha 90.00
_cell_angle_beta 90.00
_cell_angle_gamma 90.00
_space_group_name_H-M_alt 'P n n m'
_space_group_IT_number 58
loop_
_space_group_symop_operation_xyz
'x,y,z'
'-x,-y,-z'
'-x,-y,z'
'x,y,-z'
'x+1/2,-y+1/2,-z+1/2'
'-x+1/2,y+1/2,z+1/2'
'-x+1/2,y+1/2,-z+1/2'
'x+1/2,-y+1/2,z+1/2'
loop_
_atom_site_label
_atom_site_fract_x
_atom_site_fract_y
_atom_site_fract_z
La1 0.0000 0.0000 0.0000
Pm1 0.2201 0.3507 0.5000
Pr1 0.2257 0.1832 0.0000
Sm1 0.0000 0.5000 0.0000
```


Pm3YHg4: simulated X-ray diffraction stick pattern (copper Kα), based on a cell relaxed with GGA-PBE.
Lines closer than 0.1° are merged.

Principal peaks in the range 5° ≤ 2θ ≤ 70°, by angle:
Position (°2θ), d [Å], intensity, index
23.32, 3.814, 2, 0 0 4
23.53, 3.781, 5, 1 0 0
33.37, 2.685, 100, 1 0 4
33.52, 2.674, 50, 1 1 0
41.24, 2.189, 2, 1 1 4
47.69, 1.907, 9, 0 0 8
48.13, 1.891, 18, 2 0 0
54.27, 1.690, 2, 2 1 0
59.54, 1.553, 19, 1 1 8
59.83, 1.546, 38, 2 1 4

Structure:
```
data_Pm3YHg4
_chemical_formula_sum 'Pm3 Y1 Hg4'
_cell_length_a 3.7811
_cell_length_b 3.7811
_cell_length_c 15.2561
_cell_angle_alpha 90.00
_cell_angle_beta 90.00
_cell_angle_gamma 90.00
_space_group_name_H-M_alt 'P 4/m m m'
_space_group_IT_number 123
_space_group_name_Hall '-P 4 2'
loop_
_atom_site_label
_atom_site_fract_x
_atom_site_fract_y
_atom_site_fract_z
Pm1 0.0000 0.0000 0.0000
Pm2 0.0000 0.0000 0.2526
Y1 0.0000 0.0000 0.5000
Hg1 0.5000 0.5000 0.1259
Hg2 0.5000 0.5000 0.3823
```


Tm2Mn9Tc: simulated X-ray diffraction stick pattern (copper Kα), based on a cell relaxed with GGA-PBE.
Lines closer than 0.1° are merged.

Principal peaks in the range 5° ≤ 2θ ≤ 70°, by angle:
Position (°2θ), d [Å], intensity, index
21.75, 4.086, 57, 1 1 -1
33.46, 2.678, 44, 3 1 -2
36.51, 2.461, 83, 3 1 0
36.77, 2.445, 66, 1 1 2
37.92, 2.373, 100, 0 2 0
38.41, 2.344, 49, 4 0 -3
42.53, 2.126, 40, 2 0 -4
43.54, 2.079, 44, 2 2 0
44.33, 2.043, 36, 2 2 -2
45.68, 1.986, 50, 0 2 2

Structure:
```
data_Tm2Mn9Tc
_chemical_formula_sum 'Tm4 Mn18 Tc2'
_cell_length_a 10.1881
_cell_length_b 4.7433
_cell_length_c 8.5741
_cell_angle_alpha 90.00
_cell_angle_beta 122.03
_cell_angle_gamma 90.00
_space_group_name_H-M_alt 'C 1 2/m 1'
_space_group_IT_number 12
loop_
_space_group_symop_operation_xyz
'x,y,z'
'-x,-y,-z'
'-x,y,-z'
'x,-y,z'
'x+1/2,y+1/2,z'
'-x+1/2,-y+1/2,-z'
'-x+1/2,y+1/2,-z'
'x+1/2,-y+1/2,z'
loop_
_atom_site_label
_atom_site_fract_x
_atom_site_fract_y
_atom_site_fract_z
Tm1 0.2038 0.0000 0.0910
Mn1 0.0000 0.5000 0.0000
Mn2 0.0369 0.2482 0.2690
Mn3 0.1629 0.0000 0.6599
Mn4 0.2449 0.5000 0.5478
Tc1 0.0000 0.5000 0.5000
```


LaPd4Pt: simulated X-ray diffraction stick pattern (copper Kα), based on a cell relaxed with GGA-PBE.
Lines closer than 0.1° are merged.

Principal peaks in the range 5° ≤ 2θ ≤ 70°, by angle:
Position (°2θ), d [Å], intensity, index
17.21, 5.152, 12, 1 0 1
31.41, 2.848, 26, 2 1 0
34.03, 2.635, 60, 2 1 1
38.97, 2.311, 23, 0 0 3
40.77, 2.213, 12, 1 0 3
41.01, 2.201, 100, 2 1 2
42.72, 2.117, 35, 0 2 0
47.21, 1.925, 21, 4 0 0
59.20, 1.561, 14, 0 2 3
65.55, 1.424, 15, 4 2 0

Structure:
```
data_LaPd4Pt
_chemical_formula_sum 'La2 Pd8 Pt2'
_cell_length_a 7.7004
_cell_length_b 4.2332
_cell_length_c 6.9330
_cell_angle_alpha 90.00
_cell_angle_beta 90.00
_cell_angle_gamma 90.00
_space_group_name_H-M_alt 'P m m a'
_space_group_IT_number 51
loop_
_space_group_symop_operation_xyz
'x,y,z'
'-x,-y,-z'
'-x+1/2,-y,z'
'x+1/2,y,-z'
'x+1/2,-y,-z'
'-x+1/2,y,z'
'-x,y,-z'
'x,-y,z'
loop_
_atom_site_label
_atom_site_fract_x
_atom_site_fract_y
_atom_site_fract_z
La1 0.2500 0.0000 0.1568
Pd1 0.0000 0.0000 0.5000
Pd2 0.0361 0.5000 0.7996
Pd3 0.2500 0.5000 0.4704
Pt1 0.2500 0.0000 0.7616
```


Mg4Sn2N: simulated X-ray diffraction stick pattern (copper Kα), based on a cell relaxed with GGA-PBE.
Lines closer than 0.1° are merged.

Principal peaks in the range 5° ≤ 2θ ≤ 70°, by angle:
Position (°2θ), d [Å], intensity, index
21.42, 4.149, 25, 1 0 1
27.17, 3.282, 100, 1 0 3
29.28, 3.050, 63, 1 1 0
31.62, 2.830, 39, 1 1 2
35.50, 2.529, 32, 0 0 6
37.85, 2.377, 51, 1 1 4
41.89, 2.157, 47, 2 0 0
46.66, 1.947, 29, 1 1 6
50.64, 1.802, 37, 2 1 3
56.04, 1.641, 35, 2 0 6

Structure:
```
data_Mg4Sn2N
_chemical_formula_sum 'Mg8 Sn4 N2'
_cell_length_a 4.3136
_cell_length_b 4.3136
_cell_length_c 15.1739
_cell_angle_alpha 90.00
_cell_angle_beta 90.00
_cell_angle_gamma 90.00
_space_group_name_H-M_alt 'I 4/m m m'
_space_group_IT_number 139
_space_group_name_Hall '-I 4 2'
loop_
_atom_site_label
_atom_site_fract_x
_atom_site_fract_y
_atom_site_fract_z
Mg1 0.0000 0.0000 0.1428
Mg2 0.0000 0.5000 0.0000
Sn1 0.0000 0.0000 0.3380
N1 0.0000 0.0000 0.0000
```